No. 1
Structure and computed XRD peak list of Ti4Ge6Rh7 (a PBE-relaxed structure; λ = 1.5418 Å (Cu Kα)).

Structure:
a b c (Å): 6.956 6.956 6.956
angles (deg): 109.47 109.47 109.47
Sites, in units of the cell vectors:
Ti 0.000 0.000 0.500
Ti 0.000 0.500 0.000
Ti 0.500 0.000 0.000
Ti 0.500 0.500 0.500
Ge 0.000 0.311 0.311
Ge 0.000 0.689 0.689
Ge 0.311 0.000 0.311
Ge 0.311 0.311 0.000
Ge 0.689 0.000 0.689
Ge 0.689 0.689 0.000
Rh 0.000 0.000 0.000
Rh 0.250 0.500 0.750
Rh 0.250 0.750 0.500
Rh 0.500 0.250 0.750
Rh 0.500 0.750 0.250
Rh 0.750 0.250 0.500
Rh 0.750 0.500 0.250

Principal peaks in the range 10 to 80 degrees two-theta, in order of rising 2θ:
d [Å]	two_theta	I_rel
4.016	22.1	30
2.319	38.8	100
2.147	42.1	36
2.008	45.2	68
1.712	53.5	25
1.420	65.8	33

---

No. 2
Structure and computed XRD peak list of Tl3GeRh (a PBE-relaxed structure; λ = 1.5418 Å (Cu Kα)).

Structure:
a b c (Å): 5.240 5.240 5.240
angles (deg): 90.00 90.00 90.00
Sites, in units of the cell vectors:
Tl 0.000 0.000 0.500
Tl 0.000 0.500 0.000
Tl 0.500 0.000 0.000
Ge 0.500 0.500 0.500
Rh 0.000 0.000 0.000

Principal peaks in the range 10 to 80 degrees two-theta, in order of rising 2θ:
d [Å]	two_theta	I_rel
5.240	16.9	47
3.025	29.5	100
2.620	34.2	97
2.343	38.4	25
1.853	49.2	70
1.580	58.4	45

---

No. 3
Structure and computed XRD peak list of TmGe2Rh5 (a PBE-relaxed structure; λ = 1.5418 Å (Cu Kα)).

Structure:
a b c (Å): 3.796 6.915 10.038
angles (deg): 90.00 90.00 90.00
Sites, in units of the cell vectors:
Tm 0.000 0.000 0.000
Tm 0.500 0.500 0.500
Ge 0.000 0.500 0.243
Ge 0.000 0.500 0.757
Ge 0.500 0.000 0.257
Ge 0.500 0.000 0.743
Rh 0.000 0.202 0.361
Rh 0.000 0.202 0.639
Rh 0.000 0.500 0.000
Rh 0.000 0.798 0.361
Rh 0.000 0.798 0.639
Rh 0.500 0.000 0.500
Rh 0.500 0.298 0.139
Rh 0.500 0.298 0.861
Rh 0.500 0.702 0.139
Rh 0.500 0.702 0.861

Principal peaks in the range 10 to 80 degrees two-theta, in order of rising 2θ:
d [Å]	two_theta	I_rel
2.774	32.3	20
2.510	35.8	78
2.477	36.3	100
2.031	44.6	62
1.898	47.9	35
1.387	67.5	35

---

No. 4
Structure and computed XRD peak list of Tm5GeRh2 (a PBE-relaxed structure; λ = 1.5418 Å (Cu Kα)).

Structure:
a b c (Å): 8.416 8.416 8.416
angles (deg): 126.84 126.84 78.52
Sites, in units of the cell vectors:
Tm 0.000 0.000 0.000
Tm 0.019 0.519 0.821
Tm 0.198 0.019 0.500
Tm 0.302 0.802 0.821
Tm 0.481 0.302 0.500
Tm 0.500 0.500 0.000
Tm 0.519 0.698 0.500
Tm 0.698 0.198 0.179
Tm 0.802 0.981 0.500
Tm 0.981 0.481 0.179
Ge 0.250 0.250 0.000
Ge 0.750 0.750 0.000
Rh 0.138 0.362 0.500
Rh 0.362 0.862 0.224
Rh 0.638 0.138 0.776
Rh 0.862 0.638 0.500

Principal peaks in the range 10 to 80 degrees two-theta, in order of rising 2θ:
d [Å]	two_theta	I_rel
2.662	33.7	100
2.464	36.5	22
2.382	37.8	46
1.684	54.5	19
1.630	56.5	19
1.331	70.8	20